(1)
Computed PXRD pattern of Ho5Pt3 for Cu Kα (weighted mean of Kα1 and Kα2), from a GGA-PBE-relaxed structure.
Kinematic intensities with the Lorentz-polarization factor, no thermal factor.

Top 12 peaks for 10° ≤ 2θ ≤ 80°, low angle first:
| Position (°2θ) | Rel. int. |
| --- | --- |
| 29.03 | 235 |
| 31.57 | 110 |
| 32.47 | 252 |
| 35.69 | 1000 |
| 36.16 | 787 |
| 36.97 | 457 |
| 47.30 | 171 |
| 52.68 | 168 |
| 55.88 | 279 |
| 60.17 | 109 |
| 71.58 | 181 |
| 72.76 | 129 |

Lattice parameters (Å, degrees): 8.4233 8.4233 6.1516 90.00 90.00 120.00
Fractional positions:
1 Ho 0.0000 0.2446 0.2500
2 Ho 0.0000 0.7554 0.7500
3 Ho 0.2446 0.0000 0.2500
4 Ho 0.2446 0.2446 0.7500
5 Ho 0.3333 0.6667 0.0000
6 Ho 0.3333 0.6667 0.5000
7 Ho 0.6667 0.3333 0.0000
8 Ho 0.6667 0.3333 0.5000
9 Ho 0.7554 0.0000 0.7500
10 Ho 0.7554 0.7554 0.2500
11 Pt 0.0000 0.3925 0.7500
12 Pt 0.0000 0.6075 0.2500
13 Pt 0.3925 0.0000 0.7500
14 Pt 0.3925 0.3925 0.2500
15 Pt 0.6075 0.0000 0.2500
16 Pt 0.6075 0.6075 0.7500

---

(2)
Computed PXRD pattern of Ho5SbPt2 for Cu Kα (weighted mean of Kα1 and Kα2), from a GGA-PBE-relaxed structure.
Kinematic intensities with the Lorentz-polarization factor, no thermal factor.

Top 12 peaks for 10° ≤ 2θ ≤ 80°, low angle first:
| Position (°2θ) | Rel. int. |
| --- | --- |
| 12.93 | 212 |
| 30.83 | 105 |
| 32.52 | 1000 |
| 35.04 | 180 |
| 36.82 | 501 |
| 39.48 | 78 |
| 42.12 | 212 |
| 52.86 | 95 |
| 53.53 | 84 |
| 55.09 | 79 |
| 66.75 | 147 |
| 68.63 | 163 |

Lattice parameters (Å, degrees): 8.7561 8.7561 8.7561 127.70 127.70 77.12
Fractional positions:
1 Ho 0.0000 0.0000 0.0000
2 Ho 0.0200 0.5200 0.8164
3 Ho 0.2036 0.0200 0.5000
4 Ho 0.2964 0.7964 0.8164
5 Ho 0.4800 0.2964 0.5000
6 Ho 0.5000 0.5000 0.0000
7 Ho 0.5200 0.7036 0.5000
8 Ho 0.7036 0.2036 0.1836
9 Ho 0.7964 0.9800 0.5000
10 Ho 0.9800 0.4800 0.1836
11 Sb 0.2500 0.2500 0.0000
12 Sb 0.7500 0.7500 0.0000
13 Pt 0.1372 0.3628 0.5000
14 Pt 0.3628 0.8628 0.2255
15 Pt 0.6372 0.1372 0.7745
16 Pt 0.8628 0.6372 0.5000